Entry 1:
This entry pairs a crystal structure of Rb2CeMgCl6 with its computed powder X-ray diffraction pattern. Radiation: copper Kα. Structure: a GGA-PBE-relaxed structure.
Kinematic intensities with the Lorentz-polarization factor, no thermal factor.

Structural model:
a b c (Å): 7.3525 10.7315 7.8726
angles (deg): 90.00 90.00 90.00
Space group Pmmn (No. 59, origin choice 2)
Asymmetric unit:
Rb  0.2500  0.0115  0.2347 [4 per cell]
Ce  0.2500  0.2500  0.7407 [2 per cell]
Mg  0.2500  0.7500  0.7565 [2 per cell]
Cl  0.0051  0.7500  0.5332 [4 per cell]
Cl  0.0082  0.7500  0.9855 [4 per cell]
Cl  0.2500  0.5139  0.7589 [4 per cell]

Principal peaks in the range 2θ from 10° to 90°, low angle first:
14.6°, I 21, (1 1 0)
22.6°, I 22, (0 0 2)
23.4°, I 78, (1 2 1)
24.2°, I 18, (2 0 0)
28.1°, I 27, (0 2 2)
33.4°, I 100, (0 4 0)
40.2°, I 18, (1 2 3)
42.1°, I 17, (3 2 1)
47.9°, I 44, (2 4 2)
79.9°, I 17, (2 8 2)

***

Entry 2:
This entry pairs a crystal structure of Th2Ga6Rh9 with its computed powder X-ray diffraction pattern. Radiation: copper Kα. Structure: a GGA-PBE-relaxed structure.
Kinematic intensities with the Lorentz-polarization factor, no thermal factor.

Structural model:
a b c (Å): 5.6086 5.6086 11.5388
angles (deg): 90.00 90.00 120.00
Space group P6/mmm (No. 191)
Asymmetric unit:
Th  0.0000  0.0000  0.2106 [2 per cell]
Ga  0.3333  0.6667  0.1634 [4 per cell]
Ga  0.3333  0.6667  0.5000 [2 per cell]
Rh  0.0000  0.5000  0.0000 [3 per cell]
Rh  0.0000  0.5000  0.3299 [6 per cell]

Principal peaks in the range 2θ from 10° to 90°, low angle first:
15.4°, I 25, (0 0 2)
23.9°, I 50, (1 0 2)
29.6°, I 31, (1 0 3)
31.9°, I 26, (1 1 0)
37.0°, I 75, (2 0 0)
39.8°, I 100, (1 1 3)
44.1°, I 49, (2 0 3)
62.2°, I 26, (3 0 3)
66.7°, I 32, (2 2 0)
85.7°, I 23, (2 0 9)

***

Entry 3:
This entry pairs a crystal structure of Sr7Hg3 with its computed powder X-ray diffraction pattern. Radiation: copper Kα. Structure: a GGA-PBE-relaxed structure.
Kinematic intensities with the Lorentz-polarization factor, no thermal factor.

Structural model:
a b c (Å): 11.4815 11.4815 7.4029
angles (deg): 90.00 90.00 120.00
Space group P6_3mc (No. 186)
Asymmetric unit:
Sr  0.0827  0.5414  0.0000 [6 per cell]
Sr  0.1246  0.2491  0.7050 [6 per cell]
Sr  0.3333  0.6667  0.5076 [2 per cell]
Hg  0.1899  0.3798  0.2802 [6 per cell]

Principal peaks in the range 2θ from 10° to 90°, low angle first:
14.9°, I 58, (1 0 1)
21.5°, I 63, (2 0 1)
26.6°, I 60, (2 1 1)
29.5°, I 100, (3 0 1)
30.1°, I 72, (2 0 2)
31.2°, I 71, (2 2 0)
34.0°, I 47, (2 1 2)
40.8°, I 38, (2 0 3)
52.2°, I 40, (5 0 2)
59.4°, I 49, (5 2 1)

***

Entry 4:
This entry pairs a crystal structure of Pr7CoCl12 with its computed powder X-ray diffraction pattern. Radiation: copper Kα. Structure: a GGA-PBE-relaxed structure.
Kinematic intensities with the Lorentz-polarization factor, no thermal factor.

Structural model:
a b c (Å): 14.8529 14.8529 10.5983
angles (deg): 90.00 90.00 120.00
Space group R-3 (No. 148, hexagonal axes)
Asymmetric unit:
Pr  0.0000  0.0000  0.0000 [3 per cell]
Pr  0.0352  0.1661  0.3558 [18 per cell]
Co  0.0000  0.0000  0.5000 [3 per cell]
Cl  0.0250  0.5784  0.1552 [18 per cell]
Cl  0.0372  0.1605  0.8347 [18 per cell]

Principal peaks in the range 2θ from 10° to 90°, low angle first:
10.8°, I 43, (1 0 1)
11.9°, I 82, (1 1 0)
20.1°, I 21, (3 -1 1)
24.9°, I 18, (1 2 2)
26.4°, I 18, (4 -3 1)
30.2°, I 100, (3 1 2)
34.8°, I 20, (2 3 2)
42.5°, I 35, (4 -3 4)
44.0°, I 31, (2 5 0)
54.3°, I 15, (8 -6 2)

***

Entry 5:
This entry pairs a crystal structure of Tb8CoPb2 with its computed powder X-ray diffraction pattern. Radiation: copper Kα. Structure: a GGA-PBE-relaxed structure.
Kinematic intensities with the Lorentz-polarization factor, no thermal factor.

Structural model:
a b c (Å): 19.1384 4.7634 7.0470
angles (deg): 90.00 98.03 90.00
Space group C2/m (No. 12)
Asymmetric unit:
Tb  0.0040  0.0000  0.2773 [4 per cell]
Tb  0.0936  0.5000  0.0075 [4 per cell]
Tb  0.1331  0.5000  0.5281 [4 per cell]
Tb  0.2168  0.0000  0.8319 [4 per cell]
Co  0.0000  0.5000  0.5000 [2 per cell]
Pb  0.1821  0.0000  0.2784 [4 per cell]

Principal peaks in the range 2θ from 10° to 90°, low angle first:
30.1°, I 89, (5 1 0)
31.6°, I 100, (1 1 -2)
32.7°, I 20, (6 0 1)
34.0°, I 23, (4 0 2)
35.6°, I 22, (6 0 -2)
37.8°, I 41, (0 2 0)
38.9°, I 16, (7 1 -1)
51.7°, I 22, (4 2 2)
52.9°, I 14, (6 2 -2)
59.1°, I 14, (7 1 3)

***

Entry 6:
This entry pairs a crystal structure of Ce2Sc3Pb4 with its computed powder X-ray diffraction pattern. Radiation: copper Kα. Structure: a GGA-PBE-relaxed structure.
Kinematic intensities with the Lorentz-polarization factor, no thermal factor.

Structural model:
a b c (Å): 6.8217 16.9081 8.7461
angles (deg): 90.00 90.00 90.00
Space group Cmce (No. 64)
Asymmetric unit:
Ce  0.0000  0.1137  0.0845 [8 per cell]
Sc  0.0000  0.0000  0.5000 [4 per cell]
Sc  0.2500  0.2095  0.7500 [8 per cell]
Pb  0.0000  0.1852  0.4465 [8 per cell]
Pb  0.2500  0.0357  0.7500 [8 per cell]

Principal peaks in the range 2θ from 10° to 90°, low angle first:
22.9°, I 51, (0 2 2)
23.4°, I 21, (0 4 1)
28.2°, I 28, (2 2 0)
29.0°, I 19, (1 3 2)
30.0°, I 43, (2 2 1)
31.2°, I 68, (1 5 1)
32.5°, I 47, (0 2 3)
33.3°, I 100, (2 0 2)
33.8°, I 25, (2 4 0)
49.4°, I 19, (3 5 1)

***

Entry 7:
This entry pairs a crystal structure of Hg2Pd2Se with its computed powder X-ray diffraction pattern. Radiation: copper Kα. Structure: a GGA-PBE-relaxed structure.
Kinematic intensities with the Lorentz-polarization factor, no thermal factor.

Structural model:
a b c (Å): 6.9989 6.9989 4.0032
angles (deg): 90.00 90.00 90.00
Space group P4/mbm (No. 127)
Asymmetric unit:
Hg  0.1528  0.3472  0.0000 [4 per cell]
Pd  0.1506  0.6506  0.5000 [4 per cell]
Se  0.0000  0.0000  0.5000 [2 per cell]

Principal peaks in the range 2θ from 10° to 90°, low angle first:
17.9°, I 10, (1 1 0)
28.5°, I 8, (2 1 0)
36.4°, I 100, (2 1 1)
40.8°, I 29, (3 1 0)
45.3°, I 15, (0 0 2)
52.3°, I 10, (4 0 0)
59.1°, I 14, (4 1 1)
62.6°, I 16, (3 1 2)
77.2°, I 20, (5 2 1)
77.8°, I 11, (2 1 3)